(1)
LiDyNb2N4: calculated powder X-ray diffraction pattern (Cu Kα), based on DFT lattice parameters and positions (PBE).
Peak positions follow from Bragg's law for the DFT cell and can differ from measured ones.

Atomic structure:
a b c (Å): 5.4445 5.4445 5.4445
angles (deg): 130.88 130.88 72.01
Fractional coordinates of all 8 atoms:
1 Li 0.0000 0.0000 0.0000
2 Dy 0.5000 0.5000 0.0000
3 Nb 0.2500 0.7500 0.5000
4 Nb 0.7500 0.2500 0.5000
5 N 0.0000 0.5000 0.5000
6 N 0.2403 0.2403 0.0000
7 N 0.5000 0.0000 0.5000
8 N 0.7597 0.7597 0.0000

Main lines, by intensity (5 to 70 degrees two-theta):
d [Å]	Rel. int.
2.589	100
4.026	80
2.263	62
1.578	38
1.361	29
2.202	28
2.463	24
1.973	23
1.600	20
1.667	15



(2)
LiDy2NpN4: calculated powder X-ray diffraction pattern (Cu Kα), based on DFT lattice parameters and positions (PBE).
Peak positions follow from Bragg's law for the DFT cell and can differ from measured ones.

Atomic structure:
a b c (Å): 6.0245 6.0245 6.0245
angles (deg): 134.11 134.11 66.91
Fractional coordinates of all 8 atoms:
1 Li 0.0000 0.0000 0.0000
2 Dy 0.2500 0.7500 0.5000
3 Dy 0.7500 0.2500 0.5000
4 Np 0.5000 0.5000 0.0000
5 N 0.0000 0.5000 0.5000
6 N 0.2885 0.2885 0.0000
7 N 0.5000 0.0000 0.5000
8 N 0.7115 0.7115 0.0000

Main lines, by intensity (5 to 70 degrees two-theta):
d [Å]	Rel. int.
2.771	100
4.255	62
2.349	46
1.716	34
1.424	29
2.513	27
2.056	18
1.496	18
1.385	17
2.728	16



(3)
Li2DyPN4: calculated powder X-ray diffraction pattern (Cu Kα), based on DFT lattice parameters and positions (PBE).
Peak positions follow from Bragg's law for the DFT cell and can differ from measured ones.

Atomic structure:
a b c (Å): 4.8529 4.8529 4.8529
angles (deg): 115.21 115.21 98.51
Fractional coordinates of all 8 atoms:
1 Li 0.2500 0.7500 0.5000
2 Li 0.7500 0.2500 0.5000
3 Dy 0.0000 0.0000 0.0000
4 P 0.5000 0.5000 0.0000
5 N 0.1726 0.1726 0.6234
6 N 0.4508 0.8274 0.0000
7 N 0.5492 0.5492 0.3766
8 N 0.8274 0.4508 0.0000

Main lines, by intensity (5 to 70 degrees two-theta):
d [Å]	Rel. int.
3.677	100
4.019	86
2.400	74
2.183	54
2.010	36
1.459	31
2.600	29
3.167	28
1.956	21
1.838	20



(4)
LiDy2TaN4: calculated powder X-ray diffraction pattern (Cu Kα), based on DFT lattice parameters and positions (PBE).
Peak positions follow from Bragg's law for the DFT cell and can differ from measured ones.

Atomic structure:
a b c (Å): 5.8327 4.7366 5.8245
angles (deg): 66.12 47.95 65.94
Fractional coordinates of all 8 atoms:
1 Li 0.0000 0.0000 0.0000
2 Dy 0.2380 0.2380 0.2620
3 Dy 0.7380 0.7380 0.7620
4 Ta 0.4455 0.4455 0.5545
5 N 0.0350 0.4876 0.9650
6 N 0.2799 0.7114 0.2886
7 N 0.4876 0.0350 0.5124
8 N 0.7114 0.2799 0.7201

Main lines, by intensity (5 to 70 degrees two-theta):
d [Å]	Rel. int.
2.741	100
4.242	50
2.368	48
1.680	39
2.385	26
1.436	16
1.427	14
1.431	12
2.640	12
4.770	9



(5)
Li2Nd2DyPb2: calculated powder X-ray diffraction pattern (Cu Kα), based on DFT lattice parameters and positions (PBE).
Peak positions follow from Bragg's law for the DFT cell and can differ from measured ones.

Atomic structure:
a b c (Å): 9.6847 9.6847 9.6847
angles (deg): 29.02 29.02 29.02
Fractional coordinates of all 7 atoms:
1 Li 0.1045 0.1045 0.1045
2 Li 0.8955 0.8955 0.8955
3 Nd 0.3722 0.3722 0.3722
4 Nd 0.6278 0.6278 0.6278
5 Dy 0.5000 0.5000 0.5000
6 Pb 0.2322 0.2322 0.2322
7 Pb 0.7678 0.7678 0.7678

Main lines, by intensity (5 to 70 degrees two-theta):
d [Å]	Rel. int.
2.426	100
2.887	98
2.679	87
1.474	65
4.155	51
1.856	41
1.798	30
4.023	29
1.445	28
3.596	19



(6)
LiNd4Dy3Se8: calculated powder X-ray diffraction pattern (Cu Kα), based on DFT lattice parameters and positions (PBE).
Peak positions follow from Bragg's law for the DFT cell and can differ from measured ones.

Atomic structure:
a b c (Å): 8.3225 8.3225 8.3225
angles (deg): 59.36 59.36 59.36
Fractional coordinates of all 16 atoms:
1 Li 0.0000 0.0000 0.0000
2 Nd 0.0000 0.0000 0.5000
3 Nd 0.0000 0.5000 0.0000
4 Nd 0.5000 0.0000 0.0000
5 Nd 0.5000 0.5000 0.5000
6 Dy 0.0000 0.5000 0.5000
7 Dy 0.5000 0.0000 0.5000
8 Dy 0.5000 0.5000 0.0000
9 Se 0.2408 0.2408 0.7501
10 Se 0.2408 0.7501 0.2408
11 Se 0.2499 0.7592 0.7592
12 Se 0.2546 0.2546 0.2546
13 Se 0.7454 0.7454 0.7454
14 Se 0.7501 0.2408 0.2408
15 Se 0.7592 0.2499 0.7592
16 Se 0.7592 0.7592 0.2499

Main lines, by intensity (5 to 70 degrees two-theta):
d [Å]	Rel. int.
2.928	100
2.060	37
2.080	37
1.685	19
1.464	12
3.370	9
1.707	6
6.740	5
5.856	4
3.526	4



(7)
Li2Nd2DySi2: calculated powder X-ray diffraction pattern (Cu Kα), based on DFT lattice parameters and positions (PBE).
Peak positions follow from Bragg's law for the DFT cell and can differ from measured ones.

Atomic structure:
a b c (Å): 9.8439 9.8439 9.8439
angles (deg): 25.95 25.95 25.95
Fractional coordinates of all 7 atoms:
1 Li 0.1113 0.1113 0.1113
2 Li 0.8887 0.8887 0.8887
3 Nd 0.3770 0.3770 0.3770
4 Nd 0.6230 0.6230 0.6230
5 Dy 0.5000 0.5000 0.5000
6 Si 0.2285 0.2285 0.2285
7 Si 0.7715 0.7715 0.7715

Main lines, by intensity (5 to 70 degrees two-theta):
d [Å]	Rel. int.
3.794	100
2.609	71
2.790	56
2.210	51
1.813	23
3.171	21
1.686	19
1.910	15
1.616	15
1.441	15



(8)
LiDyNiSb: calculated powder X-ray diffraction pattern (Cu Kα), based on DFT lattice parameters and positions (PBE).
Peak positions follow from Bragg's law for the DFT cell and can differ from measured ones.

Atomic structure:
a b c (Å): 4.6382 4.6382 4.6382
angles (deg): 60.00 60.00 60.00
Fractional coordinates of all 4 atoms:
1 Li 0.0000 0.0000 0.0000
2 Dy 0.7500 0.7500 0.7500
3 Ni 0.5000 0.5000 0.5000
4 Sb 0.2500 0.2500 0.2500

Main lines, by intensity (5 to 70 degrees two-theta):
d [Å]	Rel. int.
2.319	100
3.280	46
1.467	17
1.640	17
1.894	13
3.787	10
1.978	5
1.505	2



(9)
Li3Dy2SiNi12: calculated powder X-ray diffraction pattern (Cu Kα), based on DFT lattice parameters and positions (PBE).
Peak positions follow from Bragg's law for the DFT cell and can differ from measured ones.

Atomic structure:
a b c (Å): 11.5413 11.5413 11.5413
angles (deg): 25.63 25.63 25.63
Fractional coordinates of all 18 atoms:
1 Li 0.0000 0.5000 0.5000
2 Li 0.5000 0.0000 0.5000
3 Li 0.5000 0.5000 0.0000
4 Dy 0.1414 0.1414 0.1414
5 Dy 0.8586 0.8586 0.8586
6 Si 0.5000 0.5000 0.5000
7 Ni 0.0995 0.0995 0.6283
8 Ni 0.0995 0.6283 0.0995
9 Ni 0.1163 0.6097 0.6097
10 Ni 0.3717 0.9005 0.9005
11 Ni 0.3903 0.3903 0.8837
12 Ni 0.3903 0.8837 0.3903
13 Ni 0.6097 0.1163 0.6097
14 Ni 0.6097 0.6097 0.1163
15 Ni 0.6283 0.0995 0.0995
16 Ni 0.8837 0.3903 0.3903
17 Ni 0.9005 0.3717 0.9005
18 Ni 0.9005 0.9005 0.3717

Main lines, by intensity (5 to 70 degrees two-theta):
d [Å]	Rel. int.
11.156	100
2.143	55
1.959	31
2.671	25
2.104	20
2.495	18
2.327	17
4.395	13
3.251	11
1.504	11



(10)
LiDy2PdO5: calculated powder X-ray diffraction pattern (Cu Kα), based on DFT lattice parameters and positions (PBE).
Peak positions follow from Bragg's law for the DFT cell and can differ from measured ones.

Atomic structure:
a b c (Å): 6.5003 6.5003 5.7742
angles (deg): 90.00 90.00 90.00
Fractional coordinates of all 18 atoms:
1 Li 0.0000 0.0000 0.0000
2 Li 0.5000 0.5000 0.0000
3 Dy 0.1735 0.3265 0.5000
4 Dy 0.3265 0.8265 0.5000
5 Dy 0.6735 0.1735 0.5000
6 Dy 0.8265 0.6735 0.5000
7 Pd 0.0000 0.5000 0.0000
8 Pd 0.5000 0.0000 0.0000
9 O 0.0000 0.0000 0.5000
10 O 0.1402 0.6402 0.2587
11 O 0.1402 0.6402 0.7413
12 O 0.3598 0.1402 0.2587
13 O 0.3598 0.1402 0.7413
14 O 0.5000 0.5000 0.5000
15 O 0.6402 0.8598 0.2587
16 O 0.6402 0.8598 0.7413
17 O 0.8598 0.3598 0.2587
18 O 0.8598 0.3598 0.7413

Main lines, by intensity (5 to 70 degrees two-theta):
d [Å]	Rel. int.
2.597	100
2.832	94
5.774	87
2.048	74
4.596	69
1.937	57
2.887	46
2.907	42
1.521	26
1.605	25



(11)
Li3Dy3PtO8: calculated powder X-ray diffraction pattern (Cu Kα), based on DFT lattice parameters and positions (PBE).
Peak positions follow from Bragg's law for the DFT cell and can differ from measured ones.

Atomic structure:
a b c (Å): 6.2846 6.2846 6.2846
angles (deg): 63.72 63.72 63.72
Fractional coordinates of all 15 atoms:
1 Li 0.0000 0.5000 0.5000
2 Li 0.5000 0.0000 0.5000
3 Li 0.5000 0.5000 0.0000
4 Dy 0.0000 0.0000 0.5000
5 Dy 0.0000 0.5000 0.0000
6 Dy 0.5000 0.0000 0.0000
7 Pt 0.5000 0.5000 0.5000
8 O 0.2436 0.2436 0.2436
9 O 0.2705 0.2705 0.7273
10 O 0.2705 0.7273 0.2705
11 O 0.2727 0.7295 0.7295
12 O 0.7273 0.2705 0.2705
13 O 0.7295 0.2727 0.7295
14 O 0.7295 0.7295 0.2727
15 O 0.7564 0.7564 0.7564

Main lines, by intensity (5 to 70 degrees two-theta):
d [Å]	Rel. int.
4.982	100
2.821	69
2.277	59
2.681	44
2.071	27
1.574	25
1.659	25
1.714	18
1.566	17
1.381	13



(12)
LiDyPuO4: calculated powder X-ray diffraction pattern (Cu Kα), based on DFT lattice parameters and positions (PBE).
Peak positions follow from Bragg's law for the DFT cell and can differ from measured ones.

Atomic structure:
a b c (Å): 5.6830 5.6830 6.9456
angles (deg): 90.00 90.00 115.30
Fractional coordinates of all 14 atoms:
1 Li 0.1555 0.8445 0.7500
2 Li 0.8445 0.1555 0.2500
3 Dy 0.5000 0.5000 0.0000
4 Dy 0.5000 0.5000 0.5000
5 Pu 0.1603 0.8397 0.2500
6 Pu 0.8397 0.1603 0.7500
7 O 0.2484 0.2517 0.2500
8 O 0.2517 0.2484 0.7500
9 O 0.2641 0.7359 0.5111
10 O 0.2641 0.7359 0.9889
11 O 0.7359 0.2641 0.0111
12 O 0.7359 0.2641 0.4889
13 O 0.7483 0.7516 0.2500
14 O 0.7516 0.7483 0.7500

Main lines, by intensity (5 to 70 degrees two-theta):
d [Å]	Rel. int.
4.131	100
2.877	95
2.832	81
3.949	52
3.041	52
1.722	32
2.065	31
2.409	30
1.656	30
1.480	24